The following is a theoretical powder diffractogram of NpMnIrRh. It was derived from a cell relaxed with GGA-PBE, using Cu Kα.
Neutral-atom scattering factors, no anomalous dispersion.

abc: 6.5248 6.5248 6.5248
angles: 90.00 90.00 90.00
Positions (direct):
Np 0.0000 0.0000 0.0000
Np 0.0000 0.5000 0.5000
Np 0.5000 0.0000 0.5000
Np 0.5000 0.5000 0.0000
Mn 0.0000 0.0000 0.5000
Mn 0.0000 0.5000 0.0000
Mn 0.5000 0.0000 0.0000
Mn 0.5000 0.5000 0.5000
Ir 0.2500 0.2500 0.7500
Ir 0.2500 0.7500 0.2500
Ir 0.7500 0.2500 0.2500
Ir 0.7500 0.7500 0.7500
Rh 0.2500 0.2500 0.2500
Rh 0.2500 0.7500 0.7500
Rh 0.7500 0.2500 0.7500
Rh 0.7500 0.7500 0.2500

Principal peaks in the range 15 to 90 degrees two-theta, sorted by position:
two_theta	d/Å	intensity	(hkl)
23.62	3.767	25.9	1 1 1
39.05	2.307	100.0	2 2 0
46.14	1.967	14.4	3 1 1
56.41	1.631	17.2	4 0 0
62.00	1.497	6.3	3 3 1
70.74	1.332	34.9	4 2 2
75.75	1.256	4.9	5 1 1
83.88	1.153	11.2	4 4 0
88.69	1.103	5.2	5 3 1